1.
Calculated X-ray diffraction stick pattern of Ca2Ga3Os for a wavelength of 1.5418 Å, from a crystal structure in Alexandria, relaxed with GGA-PBE.
Neutral-atom scattering factors, no anomalous dispersion.

Structure:
a = 5.379 Å, b = 5.379 Å, c = 5.379 Å
α = 62.19°, β = 62.19°, γ = 62.19°
Fractional positions:
Ca  0.129  0.129  0.129
Ca  0.871  0.871  0.871
Ga  0.000  0.500  0.500
Ga  0.500  0.000  0.500
Ga  0.500  0.500  0.000
Os  0.500  0.500  0.500

Most intense lines, 5 to 70 degrees two-theta, sorted by position:
d 4.510, 2θ 19.68, I = 100.0; d 2.778, 2θ 32.22, I = 29.4; d 2.336, 2θ 38.54, I = 97.0; d 2.281, 2θ 39.51, I = 42.2; d 2.255, 2θ 39.98, I = 68.2; d 2.159, 2θ 41.85, I = 21.5; d 1.931, 2θ 47.06, I = 27.9; d 1.503, 2θ 61.70, I = 23.8; d 1.488, 2θ 62.39, I = 21.6; d 1.389, 2θ 67.43, I = 20.7



2.
Calculated X-ray diffraction stick pattern of Ca3Ga2P4 for a wavelength of 1.5418 Å, from a crystal structure in Alexandria, relaxed with GGA-PBE.
Neutral-atom scattering factors, no anomalous dispersion.

Structure:
a = 6.485 Å, b = 15.362 Å, c = 4.038 Å
α = 90.00°, β = 90.00°, γ = 90.00°
Fractional positions:
Ca  0.000  0.000  0.000
Ca  0.214  0.303  0.500
Ca  0.286  0.803  0.000
Ca  0.500  0.500  0.500
Ca  0.714  0.197  0.000
Ca  0.786  0.697  0.500
Ga  0.131  0.585  0.000
Ga  0.369  0.085  0.500
Ga  0.631  0.915  0.500
Ga  0.869  0.415  0.000
P  0.235  0.434  0.000
P  0.248  0.165  0.000
P  0.252  0.665  0.500
P  0.265  0.934  0.500
P  0.735  0.066  0.500
P  0.748  0.335  0.500
P  0.752  0.835  0.000
P  0.765  0.566  0.000

Most intense lines, 5 to 70 degrees two-theta, sorted by position:
d 7.681, 2θ 11.52, I = 27.5; d 3.427, 2θ 26.00, I = 43.0; d 3.242, 2θ 27.51, I = 32.2; d 3.130, 2θ 28.52, I = 48.1; d 2.739, 2θ 32.69, I = 34.1; d 2.445, 2θ 36.76, I = 100.0; d 2.401, 2θ 37.45, I = 40.2; d 2.267, 2θ 39.76, I = 54.5; d 2.019, 2θ 44.90, I = 43.2; d 1.529, 2θ 60.57, I = 36.9



3.
Calculated X-ray diffraction stick pattern of CaGaPb for a wavelength of 1.5418 Å, from a crystal structure in Alexandria, relaxed with GGA-PBE.
Neutral-atom scattering factors, no anomalous dispersion.

Structure:
a = 6.068 Å, b = 6.068 Å, c = 6.068 Å
α = 125.40°, β = 97.59°, γ = 106.77°
Fractional positions:
Ca  0.163  0.250  0.413
Ca  0.837  0.750  0.587
Ga  0.641  0.141  0.500
Ga  0.641  0.641  0.000
Pb  0.120  0.544  0.076
Pb  0.468  0.044  0.924

Most intense lines, 5 to 70 degrees two-theta, sorted by position:
d 4.568, 2θ 19.43, I = 71.6; d 3.619, 2θ 24.60, I = 22.3; d 2.962, 2θ 30.17, I = 81.1; d 2.837, 2θ 31.54, I = 100.0; d 2.501, 2θ 35.91, I = 50.5; d 2.470, 2θ 36.37, I = 35.7; d 2.284, 2θ 39.46, I = 26.7; d 2.206, 2θ 40.91, I = 25.4; d 1.820, 2θ 50.11, I = 25.7; d 1.505, 2θ 61.65, I = 30.8



4.
Calculated X-ray diffraction stick pattern of CaGaPb for a wavelength of 1.5418 Å, from a crystal structure in Alexandria, relaxed with GGA-PBE.
Neutral-atom scattering factors, no anomalous dispersion.

Structure:
a = 10.482 Å, b = 10.482 Å, c = 10.482 Å
α = 24.24°, β = 24.24°, γ = 24.24°
Fractional positions:
Ca  0.068  0.068  0.068
Ca  0.932  0.932  0.932
Ga  0.336  0.336  0.336
Ga  0.664  0.664  0.664
Pb  0.194  0.194  0.194
Pb  0.806  0.806  0.806

Most intense lines, 5 to 70 degrees two-theta, sorted by position:
d 10.170, 2θ 8.70, I = 76.9; d 5.085, 2θ 17.44, I = 45.4; d 3.699, 2θ 24.06, I = 84.8; d 3.233, 2θ 27.59, I = 48.7; d 2.870, 2θ 31.17, I = 78.4; d 2.696, 2θ 33.23, I = 100.0; d 2.201, 2θ 41.00, I = 83.6; d 1.999, 2θ 45.38, I = 30.1; d 1.705, 2θ 53.76, I = 33.5; d 1.494, 2θ 62.14, I = 38.5



5.
Calculated X-ray diffraction stick pattern of CaGa2Pd6 for a wavelength of 1.5418 Å, from a crystal structure in Alexandria, relaxed with GGA-PBE.
Neutral-atom scattering factors, no anomalous dispersion.

Structure:
a = 7.995 Å, b = 7.995 Å, c = 7.995 Å
α = 60.00°, β = 60.00°, γ = 60.00°
Fractional positions:
Ca  0.125  0.125  0.125
Ca  0.875  0.875  0.875
Ga  0.000  0.500  0.500
Ga  0.500  0.000  0.500
Ga  0.500  0.500  0.000
Ga  0.500  0.500  0.500
Pd  0.123  0.123  0.627
Pd  0.123  0.627  0.123
Pd  0.123  0.627  0.627
Pd  0.373  0.373  0.877
Pd  0.373  0.877  0.373
Pd  0.373  0.877  0.877
Pd  0.627  0.123  0.123
Pd  0.627  0.123  0.627
Pd  0.627  0.627  0.123
Pd  0.877  0.373  0.373
Pd  0.877  0.373  0.877
Pd  0.877  0.877  0.373

Most intense lines, 5 to 70 degrees two-theta, sorted by position:
d 3.998, 2θ 22.24, I = 29.1; d 3.409, 2θ 26.14, I = 13.4; d 3.264, 2θ 27.32, I = 8.3; d 2.827, 2θ 31.65, I = 58.4; d 2.308, 2θ 39.02, I = 13.5; d 1.999, 2θ 45.37, I = 100.0; d 1.788, 2θ 51.09, I = 6.2; d 1.632, 2θ 56.38, I = 14.5; d 1.511, 2θ 61.36, I = 7.1; d 1.413, 2θ 66.11, I = 15.7



6.
Calculated X-ray diffraction stick pattern of Ca3Ga6Pd5 for a wavelength of 1.5418 Å, from a crystal structure in Alexandria, relaxed with GGA-PBE.
Neutral-atom scattering factors, no anomalous dispersion.

Structure:
a = 4.268 Å, b = 12.905 Å, c = 9.546 Å
α = 90.00°, β = 90.00°, γ = 90.00°
Fractional positions:
Ca  0.250  0.057  0.250
Ca  0.250  0.443  0.250
Ca  0.250  0.750  0.237
Ca  0.750  0.250  0.763
Ca  0.750  0.557  0.750
Ca  0.750  0.943  0.750
Ga  0.250  0.068  0.910
Ga  0.250  0.250  0.071
Ga  0.250  0.250  0.467
Ga  0.250  0.432  0.910
Ga  0.250  0.597  0.517
Ga  0.250  0.903  0.517
Ga  0.750  0.097  0.483
Ga  0.750  0.403  0.483
Ga  0.750  0.568  0.090
Ga  0.750  0.750  0.533
Ga  0.750  0.750  0.929
Ga  0.750  0.932  0.090
Pd  0.250  0.091  0.635
Pd  0.250  0.409  0.635
Pd  0.250  0.635  0.961
Pd  0.250  0.750  0.702
Pd  0.250  0.865  0.961
Pd  0.750  0.135  0.039
Pd  0.750  0.250  0.298
Pd  0.750  0.365  0.039
Pd  0.750  0.591  0.365
Pd  0.750  0.909  0.365

Most intense lines, 5 to 70 degrees two-theta, sorted by position:
d 4.773, 2θ 18.59, I = 26.3; d 3.922, 2θ 22.67, I = 23.2; d 3.896, 2θ 22.82, I = 26.2; d 2.558, 2θ 35.08, I = 100.0; d 2.551, 2θ 35.18, I = 25.0; d 2.372, 2θ 37.93, I = 30.0; d 2.151, 2θ 42.00, I = 39.8; d 2.134, 2θ 42.35, I = 55.1; d 2.003, 2θ 45.28, I = 49.5; d 1.875, 2θ 48.56, I = 23.6



7.
Calculated X-ray diffraction stick pattern of CaGa6Pd4 for a wavelength of 1.5418 Å, from a crystal structure in Alexandria, relaxed with GGA-PBE.
Neutral-atom scattering factors, no anomalous dispersion.

Structure:
a = 7.398 Å, b = 7.398 Å, c = 4.072 Å
α = 90.00°, β = 90.00°, γ = 120.00°
Fractional positions:
Ca  0.000  0.000  0.000
Ga  0.071  0.535  0.000
Ga  0.394  0.197  0.500
Ga  0.465  0.535  0.000
Ga  0.465  0.929  0.000
Ga  0.803  0.197  0.500
Ga  0.803  0.606  0.500
Pd  0.203  0.406  0.500
Pd  0.203  0.797  0.500
Pd  0.594  0.797  0.500
Pd  0.667  0.333  0.000

Most intense lines, 5 to 70 degrees two-theta, sorted by position:
d 6.407, 2θ 13.82, I = 41.4; d 2.738, 2θ 32.71, I = 31.2; d 2.518, 2θ 35.66, I = 85.1; d 2.422, 2θ 37.13, I = 44.2; d 2.081, 2θ 43.48, I = 100.0; d 2.036, 2θ 44.50, I = 38.4; d 1.891, 2θ 48.11, I = 32.9; d 1.850, 2θ 49.27, I = 30.0; d 1.558, 2θ 59.30, I = 21.7; d 1.369, 2θ 68.55, I = 21.5



8.
Calculated X-ray diffraction stick pattern of Ca4GaPd4 for a wavelength of 1.5418 Å, from a crystal structure in Alexandria, relaxed with GGA-PBE.
Neutral-atom scattering factors, no anomalous dispersion.

Structure:
a = 8.703 Å, b = 8.703 Å, c = 5.816 Å
α = 90.00°, β = 90.00°, γ = 90.00°
Fractional positions:
Ca  0.041  0.816  0.115
Ca  0.184  0.541  0.615
Ca  0.316  0.959  0.615
Ca  0.459  0.684  0.115
Ca  0.541  0.316  0.885
Ca  0.684  0.041  0.385
Ca  0.816  0.459  0.385
Ca  0.959  0.184  0.885
Ga  0.250  0.250  0.250
Ga  0.750  0.750  0.750
Pd  0.014  0.134  0.389
Pd  0.134  0.486  0.111
Pd  0.366  0.014  0.111
Pd  0.486  0.366  0.389
Pd  0.514  0.634  0.611
Pd  0.634  0.986  0.889
Pd  0.866  0.514  0.889
Pd  0.986  0.866  0.611

Most intense lines, 5 to 70 degrees two-theta, sorted by position:
d 4.836, 2θ 18.35, I = 40.8; d 4.351, 2θ 20.41, I = 11.9; d 4.227, 2θ 21.02, I = 36.9; d 2.753, 2θ 32.52, I = 100.0; d 2.330, 2θ 38.65, I = 64.1; d 2.229, 2θ 40.46, I = 19.1; d 2.038, 2θ 44.46, I = 13.8; d 1.946, 2θ 46.68, I = 17.4; d 1.857, 2θ 49.05, I = 17.8; d 1.708, 2θ 53.67, I = 13.7